Structure and computed powder diffraction line list of V6O11 (a crystal structure in Alexandria, relaxed with GGA+U; Cu Kα X-rays).

Cell and atoms:
a = 5.8671 Å, b = 5.8671 Å, c = 13.4143 Å
α = 90.00°, β = 90.00°, γ = 121.01°
Positions (direct):
V: 0.0000 0.0000 0.0000
V: 0.0000 0.0000 0.5000
V: 0.0000 0.5000 0.0000
V: 0.0000 0.5000 0.5000
V: 0.1683 0.8317 0.7500
V: 0.5000 0.0000 0.0000
V: 0.5000 0.0000 0.5000
V: 0.5002 0.4998 0.1488
V: 0.5002 0.4998 0.3512
V: 0.4998 0.5002 0.6488
V: 0.4998 0.5002 0.8512
V: 0.8317 0.1683 0.2500
O: 0.1579 0.3291 0.5734
O: 0.1579 0.3291 0.9266
O: 0.1653 0.8347 0.5863
O: 0.1653 0.8347 0.9137
O: 0.2013 0.3420 0.2500
O: 0.3244 0.6756 0.0745
O: 0.3244 0.6756 0.4255
O: 0.3291 0.1579 0.0734
O: 0.3291 0.1579 0.4266
O: 0.3391 0.6609 0.7500
O: 0.3420 0.2013 0.7500
O: 0.6580 0.7987 0.2500
O: 0.6609 0.3391 0.2500
O: 0.6709 0.8421 0.5734
O: 0.6709 0.8421 0.9266
O: 0.6756 0.3244 0.5745
O: 0.6756 0.3244 0.9255
O: 0.7987 0.6580 0.7500
O: 0.8347 0.1653 0.0863
O: 0.8347 0.1653 0.4137
O: 0.8421 0.6709 0.0734
O: 0.8421 0.6709 0.4266

Most intense lines, 10° ≤ 2θ ≤ 80°, low angle first:
| two_theta | Rel. int. |
| --- | --- |
| 13.20 | 86 |
| 18.85 | 51 |
| 22.09 | 50 |
| 31.93 | 38 |
| 32.08 | 74 |
| 33.34 | 48 |
| 38.23 | 43 |
| 54.56 | 38 |
| 54.96 | 100 |
| 63.43 | 45 |